[1]
Theoretical X-ray powder pattern of Pr6Nd3HoTm2 for a wavelength of 1.5418 Å, from a cell relaxed with GGA-PBE.
No peak broadening, texture or thermal motion is included.

Structure:
```
data_Pr6Nd3HoTm2
_symmetry_space_group_name_H-M 'C 1 2/m 1'
_symmetry_Int_Tables_number 12
_cell_length_a 6.347
_cell_length_b 10.998
_cell_length_c 12.010
_cell_angle_alpha 90.00
_cell_angle_beta 100.14
_cell_angle_gamma 90.00
loop_
_symmetry_equiv_pos_as_xyz
'x,y,z'
'-x,-y,-z'
'-x,y,-z'
'x,-y,z'
'x+1/2,y+1/2,z'
'-x+1/2,-y+1/2,-z'
'-x+1/2,y+1/2,-z'
'x+1/2,-y+1/2,z'
loop_
_atom_site_label
_atom_site_fract_x
_atom_site_fract_y
_atom_site_fract_z
Pr1 0.249 0.000 0.245
Pr2 0.249 0.333 0.245
Nd1 0.000 0.000 0.500
Nd2 0.000 0.333 0.500
Ho1 0.000 0.500 0.000
Tm1 0.000 0.167 0.000
```

Peak list (10 most intense, 2θ = 5–70°, by angle)
Position (°2θ), d [Å], Rel. int.
29.9, 2.988, 100
30.2, 2.956, 32
34.8, 2.581, 67
49.8, 1.833, 24
50.2, 1.817, 23
59.1, 1.562, 15
59.3, 1.558, 29
59.7, 1.548, 14
62.1, 1.494, 12
62.9, 1.478, 4



[2]
Theoretical X-ray powder pattern of PrGePd for a wavelength of 1.5418 Å, from a cell relaxed with GGA-PBE.
No peak broadening, texture or thermal motion is included.

Structure:
```
data_PrGePd
_symmetry_space_group_name_H-M 'P n m a'
_symmetry_Int_Tables_number 62
_cell_length_a 7.399
_cell_length_b 4.518
_cell_length_c 7.717
_cell_angle_alpha 90.00
_cell_angle_beta 90.00
_cell_angle_gamma 90.00
loop_
_symmetry_equiv_pos_as_xyz
'x,y,z'
'-x,-y,-z'
'-x+1/2,-y,z+1/2'
'x+1/2,y,-z+1/2'
'x+1/2,-y+1/2,-z+1/2'
'-x+1/2,y+1/2,z+1/2'
'-x,y+1/2,-z'
'x,-y+1/2,z'
loop_
_atom_site_label
_atom_site_fract_x
_atom_site_fract_y
_atom_site_fract_z
Pr1 0.004 0.250 0.205
Ge1 0.196 0.250 0.588
Pd1 0.196 0.750 0.418
```

Peak list (10 most intense, 2θ = 5–70°, by angle)
Position (°2θ), d [Å], Rel. int.
32.8, 2.727, 40
33.4, 2.684, 100
33.6, 2.670, 40
38.3, 2.349, 24
39.9, 2.259, 37
40.3, 2.235, 53
53.1, 1.725, 25
56.5, 1.628, 15
64.7, 1.440, 23
68.3, 1.373, 12



[3]
Theoretical X-ray powder pattern of TlRe5 for a wavelength of 1.5418 Å, from a cell relaxed with GGA-PBE.
No peak broadening, texture or thermal motion is included.

Structure:
```
data_TlRe5
_symmetry_space_group_name_H-M 'C 1 m 1'
_symmetry_Int_Tables_number 8
_cell_length_a 10.365
_cell_length_b 2.872
_cell_length_c 6.681
_cell_angle_alpha 90.00
_cell_angle_beta 105.10
_cell_angle_gamma 90.00
loop_
_symmetry_equiv_pos_as_xyz
'x,y,z'
'x,-y,z'
'x+1/2,y+1/2,z'
'x+1/2,-y+1/2,z'
loop_
_atom_site_label
_atom_site_fract_x
_atom_site_fract_y
_atom_site_fract_z
Tl1 0.000 0.000 0.000
Re1 0.134 0.500 0.731
Re2 0.177 0.500 0.350
Re3 0.281 0.000 0.085
Re4 0.333 0.000 0.653
Re5 0.453 0.500 0.410
```

Peak list (10 most intense, 2θ = 5–70°, by angle)
Position (°2θ), d [Å], Rel. int.
36.3, 2.475, 16
36.9, 2.437, 17
39.4, 2.286, 34
41.5, 2.176, 100
42.0, 2.151, 34
54.7, 1.679, 10
55.1, 1.667, 11
64.9, 1.436, 8
66.1, 1.414, 14
69.6, 1.351, 2